1.
Theoretical PXRD pattern
Compound: LiCa14Cd
Radiation: a wavelength of 1.5418 Å
Structure: a DFT-relaxed cell (GGA-PBE, Alexandria)
Neutral-atom scattering factors, no anomalous dispersion.

Atomic structure:
```
16
Lattice="10.448 0.000 0.000 0.000 5.456 5.455 0.000 -5.456 5.455" Properties=species:S:1:pos:R:3 pbc="T T T"
Li 0.000 0.000 0.000
Ca 0.000 -2.595 8.187
Ca 0.000 2.595 8.187
Ca 2.339 0.000 2.795
Ca 2.436 -2.692 5.475
Ca 2.436 2.692 5.475
Ca 2.536 0.000 8.173
Ca 5.224 -2.710 2.751
Ca 5.224 0.000 0.063
Ca 5.224 0.000 5.437
Ca 5.224 2.710 2.751
Ca 7.912 0.000 8.173
Ca 8.012 -2.692 5.475
Ca 8.012 2.692 5.475
Ca 8.109 0.000 2.795
Cd 0.000 0.000 5.557
```

Most intense lines, 5 to 70 degrees two-theta, in order of falling intensity:
2θ 28.77, rel. 100
2θ 32.83, rel. 35
2θ 56.15, rel. 26
2θ 48.24, rel. 20
2θ 34.33, rel. 14
2θ 14.27, rel. 13
2θ 47.12, rel. 12
2θ 11.47, rel. 11

2.
Theoretical PXRD pattern
Compound: LiHo4CuRu2
Radiation: a wavelength of 1.5418 Å
Structure: a DFT-relaxed cell (GGA-PBE, Alexandria)
Neutral-atom scattering factors, no anomalous dispersion.

Atomic structure:
```
8
Lattice="2.428 1.402 7.945 -2.428 1.402 7.945 0.000 -2.804 7.945" Properties=species:S:1:pos:R:3 pbc="T T T"
Li 0.000 0.000 0.000
Ho 0.000 0.000 3.012
Ho 0.000 0.000 8.972
Ho 0.000 0.000 14.863
Ho 0.000 0.000 20.823
Cu 0.000 0.000 11.918
Ru 0.000 0.000 5.971
Ru 0.000 0.000 17.865
```

Most intense lines, 5 to 70 degrees two-theta, in order of falling intensity:
2θ 37.00, rel. 100
2θ 66.65, rel. 26
2θ 25.93, rel. 20
2θ 53.32, rel. 17
2θ 66.71, rel. 9
2θ 60.22, rel. 8
2θ 45.73, rel. 6
2θ 22.41, rel. 5

3.
Theoretical PXRD pattern
Compound: NaGaSn
Radiation: a wavelength of 1.5418 Å
Structure: a DFT-relaxed cell (GGA-PBE, Alexandria)
Neutral-atom scattering factors, no anomalous dispersion.

Atomic structure:
```
6
Lattice="2.064 -6.068 0.000 2.064 6.068 0.000 0.000 0.000 6.318" Properties=species:S:1:pos:R:3 pbc="T T T"
Na 2.064 3.791 4.738
Na 2.064 -3.791 1.579
Ga 2.064 0.000 0.000
Ga 2.064 0.000 3.159
Sn 2.064 4.859 1.579
Sn 2.064 -4.859 4.738
```

Most intense lines, 5 to 70 degrees two-theta, in order of falling intensity:
2θ 36.57, rel. 100
2θ 20.29, rel. 63
2θ 14.60, rel. 63
2θ 34.12, rel. 58
2θ 30.95, rel. 42
2θ 41.26, rel. 32
2θ 43.24, rel. 29
2θ 53.85, rel. 28

4.
Theoretical PXRD pattern
Compound: Ac9Ir4Pt2
Radiation: a wavelength of 1.5418 Å
Structure: a DFT-relaxed cell (GGA-PBE, Alexandria)
Neutral-atom scattering factors, no anomalous dispersion.

Atomic structure:
```
30
Lattice="7.552 0.000 0.000 -3.776 6.540 0.000 0.000 0.000 20.951" Properties=species:S:1:pos:R:3 pbc="T T T"
Ac -1.240 2.147 5.238
Ac -2.536 4.393 15.713
Ac -1.226 2.309 12.199
Ac -2.390 4.324 1.723
Ac 2.479 0.000 5.238
Ac 1.240 2.147 15.713
Ac 1.226 2.309 1.723
Ac -1.163 6.448 12.199
Ac 2.613 0.093 19.228
Ac 1.386 2.216 8.752
Ac 2.390 4.324 12.199
Ac 1.163 6.448 1.723
Ac 4.939 0.093 8.752
Ac 2.550 4.231 19.228
Ac 5.073 0.000 15.713
Ac 2.536 4.393 5.238
Ac 6.165 2.216 19.228
Ac 5.002 4.231 8.752
Ir 0.000 4.360 3.632
Ir 0.000 4.360 10.335
Ir 0.000 4.360 14.108
Ir 0.000 4.360 20.810
Ir 3.776 2.180 0.141
Ir 3.776 2.180 6.843
Ir 3.776 2.180 10.616
Ir 3.776 2.180 17.319
Pt 0.000 0.000 3.367
Pt 0.000 0.000 7.109
Pt 0.000 0.000 13.843
Pt 0.000 0.000 17.584
```

Most intense lines, 5 to 70 degrees two-theta, in order of falling intensity:
2θ 26.84, rel. 100
2θ 35.00, rel. 76
2θ 41.42, rel. 52
2θ 45.79, rel. 24
2θ 68.90, rel. 22
2θ 55.32, rel. 21
2θ 15.98, rel. 20
2θ 50.05, rel. 18

5.
Theoretical PXRD pattern
Compound: Rb2ScC2O6
Radiation: a wavelength of 1.5418 Å
Structure: a DFT-relaxed cell (GGA-PBE, Alexandria)
Neutral-atom scattering factors, no anomalous dispersion.

Atomic structure:
```
11
Lattice="5.360 0.000 0.000 -2.680 4.642 0.000 0.000 0.000 7.616" Properties=species:S:1:pos:R:3 pbc="T T T"
Rb 0.000 3.095 2.376
Rb 2.680 1.547 5.239
Sc 0.000 0.000 0.000
C 0.000 3.095 6.483
C 2.680 1.547 1.133
O 0.000 1.792 6.444
O -1.128 3.746 6.444
O 1.552 0.896 1.171
O 1.128 3.746 6.444
O 3.809 0.896 1.171
O 2.680 2.850 1.171
```

Most intense lines, 5 to 70 degrees two-theta, in order of falling intensity:
2θ 30.36, rel. 100
2θ 22.43, rel. 68
2θ 33.43, rel. 45
2θ 40.63, rel. 42
2θ 49.45, rel. 27
2θ 53.60, rel. 24
2θ 51.91, rel. 20
2θ 57.86, rel. 19

6.
Theoretical PXRD pattern
Compound: Mn3RuRh12
Radiation: a wavelength of 1.5418 Å
Structure: a DFT-relaxed cell (GGA-PBE, Alexandria)
Neutral-atom scattering factors, no anomalous dispersion.

Atomic structure:
```
16
Lattice="3.820 0.000 0.000 0.000 3.820 0.000 0.000 0.000 15.307" Properties=species:S:1:pos:R:3 pbc="T T T"
Mn 0.000 0.000 0.000
Mn 0.000 0.000 3.798
Mn 0.000 0.000 11.508
Ru 0.000 0.000 7.653
Rh 0.000 1.910 1.907
Rh 0.000 1.910 5.751
Rh 0.000 1.910 9.555
Rh 0.000 1.910 13.400
Rh 1.910 0.000 1.907
Rh 1.910 0.000 5.751
Rh 1.910 0.000 9.555
Rh 1.910 0.000 13.400
Rh 1.910 1.910 0.000
Rh 1.910 1.910 3.828
Rh 1.910 1.910 7.653
Rh 1.910 1.910 11.478
```

Most intense lines, 5 to 70 degrees two-theta, in order of falling intensity:
2θ 40.89, rel. 100
2θ 47.58, rel. 48
2θ 69.57, rel. 30
2θ 23.27, rel. 3
2θ 33.15, rel. 3
2θ 5.77, rel. 2
2θ 53.62, rel. 1
2θ 59.21, rel. 1

7.
Theoretical PXRD pattern
Compound: Sc3Pa2Fe2
Radiation: a wavelength of 1.5418 Å
Structure: a DFT-relaxed cell (GGA-PBE, Alexandria)
Neutral-atom scattering factors, no anomalous dispersion.

Atomic structure:
```
7
Lattice="5.414 -1.727 0.000 5.414 1.727 0.000 -3.193 0.000 7.823" Properties=species:S:1:pos:R:3 pbc="T T T"
Sc 0.000 0.000 0.000
Sc -0.072 0.000 3.276
Sc 7.708 0.000 4.547
Pa 2.935 0.000 1.468
Pa 4.701 0.000 6.354
Fe 0.832 0.000 6.000
Fe 6.804 0.000 1.823
```

Most intense lines, 5 to 70 degrees two-theta, in order of falling intensity:
2θ 33.51, rel. 100
2θ 37.44, rel. 97
2θ 17.02, rel. 95
2θ 17.69, rel. 93
2θ 33.98, rel. 90
2θ 30.94, rel. 81
2θ 38.28, rel. 74
2θ 22.73, rel. 69

8.
Theoretical PXRD pattern
Compound: SiH5Br2
Radiation: a wavelength of 1.5418 Å
Structure: a DFT-relaxed cell (GGA-PBE, Alexandria)
Neutral-atom scattering factors, no anomalous dispersion.

Atomic structure:
```
8
Lattice="2.499 -7.319 0.000 2.499 7.319 0.000 -1.012 0.000 3.556" Properties=species:S:1:pos:R:3 pbc="T T T"
Si 0.000 0.000 0.000
H 2.499 5.833 0.000
H 0.260 0.478 2.714
H 0.642 0.471 1.386
H 3.343 0.471 2.170
H 3.725 0.478 0.843
Br 1.992 3.255 1.778
Br 1.992 -3.456 1.778
```

Most intense lines, 5 to 70 degrees two-theta, in order of falling intensity:
2θ 12.09, rel. 100
2θ 27.89, rel. 69
2θ 24.32, rel. 43
2θ 41.05, rel. 35
2θ 45.10, rel. 25
2θ 25.04, rel. 24
2θ 26.02, rel. 20
2θ 47.38, rel. 18

9.
Theoretical PXRD pattern
Compound: CeMo2Se4Br2
Radiation: a wavelength of 1.5418 Å
Structure: a DFT-relaxed cell (GGA-PBE, Alexandria)
Neutral-atom scattering factors, no anomalous dispersion.

Atomic structure:
```
9
Lattice="3.457 0.000 0.000 -1.728 2.994 0.000 0.000 0.000 22.809" Properties=species:S:1:pos:R:3 pbc="T T T"
Ce 0.000 0.000 0.000
Mo 0.000 0.000 14.763
Mo 1.728 0.998 7.686
Se 0.000 0.000 6.056
Se 0.000 0.000 9.316
Se 1.728 0.998 13.133
Se 1.728 0.998 16.393
Br 1.728 0.998 2.167
Br 1.728 0.998 20.642
```

Most intense lines, 5 to 70 degrees two-theta, in order of falling intensity:
2θ 11.64, rel. 100
2θ 35.88, rel. 68
2θ 29.85, rel. 41
2θ 43.85, rel. 38
2θ 52.98, rel. 32
2θ 32.13, rel. 22
2θ 33.82, rel. 22
2θ 38.27, rel. 17

10.
Theoretical PXRD pattern
Compound: Ba2Tl2Pd3
Radiation: a wavelength of 1.5418 Å
Structure: a DFT-relaxed cell (GGA-PBE, Alexandria)
Neutral-atom scattering factors, no anomalous dispersion.

Atomic structure:
```
14
Lattice="-4.689 4.689 4.689 4.689 -4.689 4.689 4.689 4.689 -4.689" Properties=species:S:1:pos:R:3 pbc="T T T"
Ba 4.734 -0.045 0.045
Ba 0.045 4.734 -0.045
Ba -0.045 0.045 4.734
Ba 4.645 4.645 4.645
Tl 6.706 -2.016 2.016
Tl 2.016 6.706 -2.016
Tl 2.673 2.673 2.673
Tl -2.016 2.016 6.706
Pd 4.689 2.345 -1.962
Pd 2.345 1.962 0.000
Pd 1.962 0.000 2.345
Pd 2.345 -1.962 4.689
Pd 0.000 2.345 1.962
Pd -1.962 4.689 2.345
```

Most intense lines, 5 to 70 degrees two-theta, in order of falling intensity:
2θ 26.89, rel. 100
2θ 35.82, rel. 71
2θ 38.39, rel. 53
2θ 47.49, rel. 32
2θ 55.42, rel. 24
2θ 30.13, rel. 23
2θ 45.36, rel. 20
2θ 60.89, rel. 20

11.
Theoretical PXRD pattern
Compound: Cs3Li2ScF9
Radiation: a wavelength of 1.5418 Å
Structure: a DFT-relaxed cell (GGA-PBE, Alexandria)
Neutral-atom scattering factors, no anomalous dispersion.

Atomic structure:
```
15
Lattice="6.140 0.000 0.000 -3.070 5.318 0.000 0.000 0.000 7.608" Properties=species:S:1:pos:R:3 pbc="T T T"
Cs 0.000 0.000 0.000
Cs 0.000 3.545 5.145
Cs 3.070 1.773 2.463
Li 0.000 3.545 1.232
Li 3.070 1.773 6.377
Sc 0.000 0.000 3.804
F -1.535 2.659 0.000
F 0.000 1.678 2.617
F -1.617 4.479 2.617
F 1.453 0.839 4.991
F 3.070 0.000 0.000
F 1.535 2.659 0.000
F 1.617 4.479 2.617
F 4.688 0.839 4.991
F 3.070 3.640 4.991
```

Most intense lines, 5 to 70 degrees two-theta, in order of falling intensity:
2θ 20.38, rel. 100
2θ 28.86, rel. 84
2θ 35.77, rel. 82
2θ 29.08, rel. 81
2θ 41.43, rel. 77
2θ 51.42, rel. 34
2θ 35.39, rel. 27
2θ 46.75, rel. 23

12.
Theoretical PXRD pattern
Compound: La8NdAg2
Radiation: a wavelength of 1.5418 Å
Structure: a DFT-relaxed cell (GGA-PBE, Alexandria)
Neutral-atom scattering factors, no anomalous dispersion.

Atomic structure:
```
11
Lattice="8.611 -2.748 0.000 8.611 2.748 0.000 -3.643 0.000 7.747" Properties=species:S:1:pos:R:3 pbc="T T T"
La -0.022 0.000 1.867
La 0.051 0.000 5.574
La 3.377 0.000 4.131
La 6.692 0.000 0.212
La 6.887 0.000 7.536
La 10.203 0.000 3.616
La 13.528 0.000 2.174
La 13.601 0.000 5.881
Nd 6.790 0.000 3.874
Ag 3.169 0.000 1.026
Ag 10.411 0.000 6.721
```

Most intense lines, 5 to 70 degrees two-theta, in order of falling intensity:
2θ 30.67, rel. 100
2θ 32.58, rel. 26
2θ 32.43, rel. 21
2θ 56.95, rel. 17
2θ 46.64, rel. 16
2θ 53.39, rel. 10
2θ 41.08, rel. 8
2θ 56.70, rel. 8